Mg14AlCu: computed XRD peak list (Cu Kα (λ = 1.5418 Å)), based on a DFT-relaxed cell (GGA-PBE, Alexandria).
No peak broadening, texture or thermal motion is included.

Cell and atoms:
```
data_Mg14AlCu
_chemical_formula_sum 'Mg14 Al1 Cu1'
_symmetry_space_group_name_H-M 'P -6 m 2'
_symmetry_Int_Tables_number 187
_symmetry_space_group_name_Hall 'P -6 2'
_cell_length_a 6.2469
_cell_length_b 6.2469
_cell_length_c 10.1151
_cell_angle_alpha 90.00
_cell_angle_beta 90.00
_cell_angle_gamma 120.00
loop_
_atom_site_label
_atom_site_type_symbol
_atom_site_fract_x
_atom_site_fract_y
_atom_site_fract_z
Mg1 Mg 0.0000 0.0000 0.2487
Mg2 Mg 0.0078 0.5039 0.2555
Mg3 Mg 0.3311 0.1655 0.5000
Mg4 Mg 0.3340 0.1670 0.0000
Al1 Al 0.3333 0.6667 0.0000
Cu1 Cu 0.3333 0.6667 0.5000
```

Main lines, sorted by position (10° ≤ 2θ ≤ 80°):
two_theta, intensity
16.39, 6.2
18.60, 6.8
24.09, 3.4
33.12, 24.7
35.50, 26.2
37.71, 100.0
39.33, 2.7
49.33, 15.3
59.16, 16.8
65.21, 18.2
70.93, 18.6
72.32, 13.2